Structure and simulated powder diffraction line list of TmCO4 (a structure optimized by DFT (GGA-PBE); Cu Kα (weighted mean of Kα1 and Kα2)).

Largest 12 diffraction maxima, in order of rising 2θ, 2θ from 15° to 90°:
| 2θ/deg | I (rel.) | index |
| --- | --- | --- |
| 15.9 | 60.6 | 0 1 1 |
| 19.9 | 41.1 | 0 0 2 |
| 21.2 | 100.0 | 1 0 1 |
| 24.7 | 35.6 | 1 1 1 |
| 26.9 | 50.7 | 0 2 1 |
| 30.2 | 39.0 | 1 1 2 |
| 31.4 | 45.6 | 1 2 0 |
| 32.6 | 32.0 | 0 1 3 |
| 37.9 | 53.2 | 2 0 0 |
| 43.2 | 31.5 | 0 3 2 |
| 47.1 | 27.7 | 2 2 1 |
| 53.0 | 28.7 | 1 3 3 |

Crystal structure
Cell lengths 4.744, 7.129, 8.915 Å; angles 90.00, 90.00, 90.00 degrees
Space group P2_12_12_1 (No. 19)
Symmetry-distinct sites (fractional):
Tm 0.032 0.145 0.171
C 0.019 0.036 0.842
O 0.024 0.839 0.144
O 0.051 0.426 0.765
O 0.158 0.624 0.572
O 0.211 0.940 0.368